Entry 1:
The following is a calculated powder diffraction line list of HfZr2NiAs4Pd3. It was derived from a DFT-relaxed cell (PBE, OQMD), using Cu Kα (weighted mean of Kα1 and Kα2).

Structural model:
```
HfZr2NiAs4Pd3
1.0
6.6195 0.0000 0.0000
0.0000 3.9183 0.0000
-0.0158 0.0000 7.5912
Hf Zr Ni As Pd
1 2 1 4 3
Cartesian
0.0000 0.0000 0.0000 Hf
2.8875 1.9592 3.9094 Zr
3.3726 0.0000 1.0357 Zr
3.9424 0.0000 5.8223 Ni
1.3121 0.0000 5.3183 As
1.4324 1.9592 1.4950 As
4.7618 0.0000 3.5336 As
4.8311 1.9592 6.9446 As
0.7010 0.0000 2.9172 Pd
2.2230 1.9592 6.6985 Pd
5.3877 1.9592 1.9497 Pd
```

Most intense lines, 2θ from 15° to 90°, by intensity:
2θ/deg	I (rel.)	h k l
37.49	100	2 1 -1
35.62	74	1 1 2
35.50	68	2 1 0
42.53	61	0 1 3
46.34	51	0 2 0
44.78	36	1 1 -3

Entry 2:
The following is a calculated powder diffraction line list of HfZr2Ni3As4Pd. It was derived from a DFT-relaxed cell (PBE, OQMD), using Cu Kα (weighted mean of Kα1 and Kα2).

Structural model:
```
HfZr2Ni3As4Pd
1.0
6.5128 0.0000 0.0000
0.0000 3.8639 0.0000
-0.1143 0.0000 7.3565
Hf Zr Ni As Pd
1 2 3 4 1
Cartesian
0.0000 0.0000 0.0000 Hf
3.1056 0.0000 6.3328 Zr
6.0658 1.9320 2.7911 Zr
0.4551 0.0000 4.6574 Ni
3.9713 0.0000 1.7864 Ni
5.3367 1.9320 5.5059 Ni
1.2647 1.9320 5.7404 As
1.4925 0.0000 2.4568 As
4.5167 0.0000 4.1167 As
4.6265 1.9320 0.4426 As
2.0552 1.9320 0.9554 Pd
```

Most intense lines, 2θ from 15° to 90°, by intensity:
2θ/deg	I (rel.)	h k l
36.59	100	1 1 2
43.70	99	0 1 3
38.02	92	2 1 -1
47.04	68	0 2 0
38.30	64	2 1 1
36.07	64	2 1 0

Entry 3:
The following is a calculated powder diffraction line list of HfZr2NiAs4Pd3. It was derived from a DFT-relaxed cell (PBE, OQMD), using Cu Kα (weighted mean of Kα1 and Kα2).

Structural model:
```
HfZr2NiAs4Pd3
1.0
6.5731 0.0000 0.0000
0.0000 3.9170 0.0000
-0.0587 0.0000 7.6420
Hf Zr Ni As Pd
1 2 1 4 3
Cartesian
0.0000 0.0000 0.0000 Hf
3.2655 0.0000 1.0780 Zr
3.7210 1.9585 3.9199 Zr
5.8360 0.0000 2.8532 Ni
1.7614 0.0000 3.4796 As
1.7455 1.9585 7.1907 As
5.1886 1.9585 1.5982 As
5.3886 0.0000 5.2102 As
1.1469 1.9585 2.0340 Pd
2.6417 0.0000 5.8309 Pd
4.4764 1.9585 6.7609 Pd
```

Most intense lines, 2θ from 15° to 90°, by intensity:
2θ/deg	I (rel.)	h k l
35.65	100	2 1 0
37.55	57	2 1 -1
37.72	56	1 0 -3
42.32	48	0 1 3
46.36	46	0 2 0
35.48	31	1 1 -2

Entry 4:
The following is a calculated powder diffraction line list of Hf2ZrNi2As4Pd2. It was derived from a DFT-relaxed cell (PBE, OQMD), using Cu Kα (weighted mean of Kα1 and Kα2).

Structural model:
```
Hf2ZrNi2As4Pd2
1.0
6.5755 0.0000 0.0000
0.0000 3.8868 0.0000
-0.1312 0.0000 7.4585
Hf Zr Ni As Pd
2 1 2 4 2
Cartesian
0.0000 0.0000 0.0000 Hf
3.0817 0.0000 6.4885 Hf
6.0572 1.9434 2.8718 Zr
0.4480 0.0000 4.7651 Ni
5.4007 1.9434 5.5917 Ni
1.2798 1.9434 5.8473 As
1.3625 0.0000 2.5062 As
4.5568 0.0000 4.3443 As
4.6898 1.9434 0.3876 As
1.9882 1.9434 0.9627 Pd
3.9351 0.0000 1.9149 Pd
```

Most intense lines, 2θ from 15° to 90°, by intensity:
2θ/deg	I (rel.)	h k l
37.66	100	2 1 -1
43.20	93	0 1 3
36.23	87	1 1 2
35.77	77	2 1 0
46.74	66	0 2 0
37.98	56	2 1 1

Entry 5:
The following is a calculated powder diffraction line list of Hf2ZrNi3As4Pd. It was derived from a DFT-relaxed cell (PBE, OQMD), using Cu Kα (weighted mean of Kα1 and Kα2).

Structural model:
```
Hf2ZrNi3As4Pd
1.0
6.5456 0.0000 0.0000
0.0000 3.8317 0.0000
-0.0062 0.0000 7.3890
Hf Zr Ni As Pd
2 1 3 4 1
Cartesian
0.0000 0.0000 0.0000 Hf
0.4098 1.9158 2.7970 Hf
3.3512 0.0000 6.4325 Zr
1.0320 1.9158 5.5171 Ni
4.5915 1.9158 0.9434 Ni
5.9725 0.0000 4.6395 Ni
1.8715 0.0000 4.2753 As
1.9145 1.9158 0.3858 As
5.0785 0.0000 2.3561 As
5.1678 1.9158 5.8492 As
2.5675 0.0000 1.9065 Pd
```

Most intense lines, 2θ from 15° to 90°, by intensity:
2θ/deg	I (rel.)	h k l
38.16	100	2 1 1
36.46	74	1 1 -2
43.69	43	0 1 3
47.46	39	0 2 0
29.60	32	1 1 1
36.09	30	2 1 0

Entry 6:
The following is a calculated powder diffraction line list of Hf2ZrNi2As4Pd2. It was derived from a DFT-relaxed cell (PBE, OQMD), using Cu Kα (weighted mean of Kα1 and Kα2).

Structural model:
```
Hf2ZrNi2As4Pd2
1.0
6.5543 0.0000 0.0000
0.0000 3.8590 0.0000
-0.0962 0.0000 7.5355
Hf Zr Ni As Pd
2 1 2 4 2
Cartesian
0.0000 0.0000 0.0000 Hf
2.8518 1.9295 3.7182 Hf
6.0316 1.9295 4.7176 Zr
4.0357 0.0000 5.6415 Ni
5.4950 1.9295 1.8530 Ni
1.4517 0.0000 5.1596 As
1.5664 1.9295 1.4239 As
4.6138 0.0000 3.1378 As
4.5997 1.9295 7.0937 As
0.6206 0.0000 2.7728 Pd
2.1044 1.9295 6.5930 Pd
```

Most intense lines, 2θ from 15° to 90°, by intensity:
2θ/deg	I (rel.)	h k l
35.93	100	1 1 -2
42.96	76	0 1 3
37.83	60	2 1 -1
38.06	52	2 1 1
47.10	49	0 2 0
36.13	39	1 1 2

Entry 7:
The following is a calculated powder diffraction line list of Hf2ZrNiAs4Pd3. It was derived from a DFT-relaxed cell (PBE, OQMD), using Cu Kα (weighted mean of Kα1 and Kα2).

Structural model:
```
Hf2ZrNiAs4Pd3
1.0
6.5900 0.0000 0.0000
0.0000 3.8978 0.0000
-0.0133 0.0000 7.6615
Hf Zr Ni As Pd
2 1 1 4 3
Cartesian
0.0000 0.0000 0.0000 Hf
2.8091 1.9489 3.7818 Hf
6.0705 1.9489 4.7666 Zr
0.6315 0.0000 2.8030 Ni
1.3687 0.0000 5.1413 As
1.5077 1.9489 1.5204 As
4.6347 0.0000 3.2667 As
4.6768 1.9489 7.2054 As
2.0248 1.9489 6.7346 Pd
3.9909 0.0000 5.7715 Pd
5.5113 1.9489 1.9059 Pd
```

Most intense lines, 2θ from 15° to 90°, by intensity:
2θ/deg	I (rel.)	h k l
37.63	100	2 1 1
35.57	82	1 1 -2
35.68	56	2 1 0
42.31	55	0 1 3
17.76	51	1 0 1
46.60	46	0 2 0

Entry 8:
The following is a calculated powder diffraction line list of HfZr2Ni3As4Pd. It was derived from a DFT-relaxed cell (PBE, OQMD), using Cu Kα (weighted mean of Kα1 and Kα2).

Structural model:
```
HfZr2Ni3As4Pd
1.0
6.4562 0.0000 0.0000
0.0000 3.8522 0.0000
-0.0930 0.0000 7.4718
Hf Zr Ni As Pd
1 2 3 4 1
Cartesian
0.0000 0.0000 0.0000 Hf
0.3541 1.9261 2.7599 Zr
3.1541 0.0000 6.4717 Zr
1.0456 1.9261 5.5837 Ni
2.4446 0.0000 1.8081 Ni
4.3565 1.9261 0.9529 Ni
1.9002 1.9261 0.4666 As
1.9198 0.0000 4.1499 As
4.8476 0.0000 2.2524 As
4.9872 1.9261 6.0657 As
5.7756 0.0000 4.6368 Pd
```

Most intense lines, 2θ from 15° to 90°, by intensity:
2θ/deg	I (rel.)	h k l
36.35	100	2 1 0
38.21	83	2 1 -1
43.26	62	0 1 3
47.19	60	0 2 0
38.44	54	2 1 1
36.15	50	1 1 -2

Entry 9:
The following is a calculated powder diffraction line list of HfZr2NiAs4Pd3. It was derived from a DFT-relaxed cell (PBE, OQMD), using Cu Kα (weighted mean of Kα1 and Kα2).

Structural model:
```
HfZr2NiAs4Pd3
1.0
6.5951 0.0000 0.0000
0.0000 3.8972 0.0000
-0.1469 0.0000 7.6999
Hf Zr Ni As Pd
1 2 1 4 3
Cartesian
0.0000 0.0000 0.0000 Hf
0.4108 1.9486 2.8636 Zr
3.2079 0.0000 6.7174 Zr
4.5707 1.9486 0.9857 Ni
1.9439 1.9486 0.4777 As
1.9991 0.0000 4.3413 As
5.0288 1.9486 6.2936 As
5.1156 0.0000 2.3062 As
1.0588 1.9486 5.7424 Pd
2.5851 0.0000 1.9372 Pd
5.8431 0.0000 4.7718 Pd
```

Most intense lines, 2θ from 15° to 90°, by intensity:
2θ/deg	I (rel.)	h k l
35.67	100	2 1 0
37.41	79	2 1 -1
42.16	62	0 1 3
37.78	53	2 1 1
46.61	50	0 2 0
35.31	34	1 1 -2

Entry 10:
The following is a calculated powder diffraction line list of HfZr2NiAs4Pd3. It was derived from a DFT-relaxed cell (PBE, OQMD), using Cu Kα (weighted mean of Kα1 and Kα2).

Structural model:
```
HfZr2NiAs4Pd3
1.0
6.5691 0.0000 0.0000
0.0000 3.9241 0.0000
-0.0466 0.0000 7.6315
Hf Zr Ni As Pd
1 2 1 4 3
Cartesian
0.0000 0.0000 0.0000 Hf
0.4478 1.9621 2.8258 Zr
3.2640 0.0000 6.5469 Zr
2.5454 0.0000 1.7666 Ni
1.9105 1.9621 0.5128 As
2.0981 0.0000 4.1170 As
5.0633 0.0000 2.3903 As
5.0910 1.9621 6.1053 As
1.1803 1.9621 5.6814 Pd
4.4762 1.9621 0.9584 Pd
5.9560 0.0000 4.7507 Pd
```

Most intense lines, 2θ from 15° to 90°, by intensity:
2θ/deg	I (rel.)	h k l
35.63	100	2 1 0
37.55	57	2 1 -1
46.27	51	0 2 0
42.34	50	0 1 3
37.66	41	2 1 1
35.49	35	1 1 -2

Entry 11:
The following is a calculated powder diffraction line list of HfZr2NiAs4Pd3. It was derived from a DFT-relaxed cell (PBE, OQMD), using Cu Kα (weighted mean of Kα1 and Kα2).

Structural model:
```
HfZr2NiAs4Pd3
1.0
6.5998 0.0000 0.0000
0.0000 3.8937 0.0000
-0.1563 0.0000 7.7131
Hf Zr Ni As Pd
1 2 1 4 3
Cartesian
0.0000 0.0000 0.0000 Hf
2.7968 1.9469 3.8520 Zr
6.0519 1.9469 4.8472 Zr
3.9891 0.0000 5.8321 Ni
1.3992 0.0000 5.3183 As
1.5905 1.9469 1.4636 As
4.6171 0.0000 3.4297 As
4.5573 1.9469 7.1558 As
0.6564 0.0000 2.8524 Pd
2.0035 1.9469 6.7851 Pd
5.4492 1.9469 1.8685 Pd
```

Most intense lines, 2θ from 15° to 90°, by intensity:
2θ/deg	I (rel.)	h k l
35.67	100	2 1 0
42.12	71	0 1 3
37.41	67	2 1 -1
37.78	58	2 1 1
46.65	54	0 2 0
35.29	40	1 1 -2

Entry 12:
The following is a calculated powder diffraction line list of Hf2ZrNiAs4Pd3. It was derived from a DFT-relaxed cell (PBE, OQMD), using Cu Kα (weighted mean of Kα1 and Kα2).

Structural model:
```
Hf2ZrNiAs4Pd3
1.0
6.5773 0.0000 0.0000
0.0000 3.8813 0.0000
-0.1852 0.0000 7.7118
Hf Zr Ni As Pd
2 1 1 4 3
Cartesian
0.0000 0.0000 0.0000 Hf
2.7512 1.9407 3.8540 Hf
5.9901 1.9407 4.8399 Zr
3.9257 0.0000 5.8172 Ni
1.3645 0.0000 5.3112 As
1.5950 1.9407 1.4631 As
4.5441 0.0000 3.4191 As
4.5110 1.9407 7.1552 As
0.6464 0.0000 2.8524 Pd
1.9702 1.9407 6.7747 Pd
5.4131 1.9407 1.8744 Pd
```

Most intense lines, 2θ from 15° to 90°, by intensity:
2θ/deg	I (rel.)	h k l
35.78	100	2 1 0
37.50	68	2 1 -1
42.16	65	0 1 3
37.91	59	2 1 1
46.81	50	0 2 0
35.32	42	1 1 -2